Record 1
Starting from a crystal structure in Alexandria, relaxed with PBE, the powder X-ray diffraction pattern of Ba5In2Pb5 was simulated for Cu Ka.

```
Ba5In2Pb5
1.0
9.012 -2.702 0.000
9.012 2.702 0.000
-8.046 0.000 9.524
Ba In Pb
5 2 5
direct
0.000 0.000 0.000
0.087 0.087 0.410
0.199 0.199 0.821
0.801 0.801 0.179
0.913 0.913 0.590
0.346 0.346 0.691
0.654 0.654 0.309
0.261 0.261 0.348
0.436 0.436 0.153
0.500 0.500 0.500
0.564 0.564 0.847
0.739 0.739 0.652
```

Main lines, in order of falling intensity (2θ from 10° to 90°):
d [Å]  Rel. int.
2.796  100.0
3.291  74.4
2.702  55.0
3.093  37.5
3.026  35.0
2.773  25.1
3.871  23.5
1.618  23.4

Record 2
Starting from a crystal structure in Alexandria, relaxed with PBE, the powder X-ray diffraction pattern of Y2AsSe was simulated for Cu Ka.

```
Y2AsSe
1.0
4.036 0.000 0.000
-2.018 3.495 0.000
0.000 0.000 21.238
Y As Se
6 3 3
direct
0.000 0.000 0.000
0.000 0.000 0.180
0.333 0.667 0.667
0.333 0.667 0.847
0.667 0.333 0.333
0.667 0.333 0.514
0.000 0.000 0.592
0.333 0.667 0.258
0.667 0.333 0.925
0.000 0.000 0.422
0.333 0.667 0.089
0.667 0.333 0.756
```

Main lines, in order of falling intensity (2θ from 10° to 90°):
d [Å]  Rel. int.
2.699  100.0
2.018  53.3
2.291  41.3
3.320  33.6
1.331  23.0
1.616  20.5
1.262  17.6
2.920  15.4